Theoretical X-ray diffraction stick pattern of Nb2Al3Ir for Cu Kα, 1.54184 Å, from a GGA-PBE-relaxed structure.

Peak list (10 most intense, 10 to 80 degrees two-theta, by angle)
- hkl 1 0 0, d = 4.519 Å, I = 32
- hkl 0 0 2, d = 4.005 Å, I = 37
- hkl 1 0 2, d = 2.997 Å, I = 31
- hkl 1 1 0, d = 2.609 Å, I = 95
- hkl 1 0 3, d = 2.299 Å, I = 37
- hkl 1 1 2, d = 2.186 Å, I = 100
- hkl 2 0 2, d = 1.968 Å, I = 20
- hkl 1 0 4, d = 1.831 Å, I = 28
- hkl 3 0 2, d = 1.410 Å, I = 25
- hkl 2 1 4, d = 1.300 Å, I = 19

Atomic structure:
a = 5.2179 Å, b = 5.2179 Å, c = 8.0102 Å
α = 90.00°, β = 90.00°, γ = 120.00°
Space group P6_3/mmc (No. 194)
Unique sites:
Nb: 0.3333 0.6667 0.0736 [4 per cell]
Al: 0.1697 0.3394 0.7500 [6 per cell]
Ir: 0.0000 0.0000 0.0000 [2 per cell]